# PrHo3Rh
Theoretical X-ray diffraction stick pattern, λ = 1.5418 Å (Cu Kα). Input: a cell relaxed with PBE.
Intensities are scaled so that the largest is 100.

Structural model:
```
PrHo3Rh
1.0
7.5745 0.0000 0.0000
0.0000 6.5393 0.0000
0.0000 0.0000 6.1960
Pr Ho Rh
2 6 2
Cartesian
0.0000 0.9441 0.0000
3.7872 5.5952 3.0980
0.0000 5.5372 2.9794
1.8758 2.0931 3.0479
1.9115 4.4461 6.1459
3.7872 1.0021 6.0774
5.6630 4.4461 6.1459
5.6987 2.0931 3.0479
0.0000 3.3338 4.5782
3.7872 3.2054 1.4802
```

Most intense lines, 2θ = 5–70°, by angle:
- 23.0°, I = 7
- 27.2°, I = 10
- 28.8°, I = 19
- 30.9°, I = 100
- 40.1°, I = 29
- 48.0°, I = 9
- 48.2°, I = 17
- 52.4°, I = 23
- 57.1°, I = 10
- 58.2°, I = 11